# SnMo5O8
Computed powder diffractogram, CuKα. Input: the PBE+U geometry in the Materials Project.
Lines closer than 0.1° are merged.

Most intense lines, 2θ from 10° to 90°, in order of rising 2θ:
| 2θ (°) | intensity | hkl |
| --- | --- | --- |
| 12.52 | 34 | 0 1 1 |
| 28.29 | 57 | 0 3 1 |
| 30.91 | 81 | 1 2 -3 |
| 32.57 | 100 | 2 2 1 |
| 33.77 | 31 | 3 1 -2 |
| 34.74 | 31 | 1 1 -4 |
| 42.65 | 33 | 3 3 -2 |
| 57.68 | 45 | 1 5 -4 |

Structure:
```
data_SnMo5O8
_cell_length_a 8.399
_cell_length_b 9.969
_cell_length_c 10.694
_cell_angle_alpha 90.00
_cell_angle_beta 110.41
_cell_angle_gamma 90.00
_symmetry_space_group_name_H-M 'P 1 21/c 1'
_symmetry_Int_Tables_number 14
loop_
_symmetry_equiv_pos_as_xyz
'x,y,z'
'-x,-y,-z'
'-x,y+1/2,-z+1/2'
'x,-y+1/2,z+1/2'
loop_
_atom_site_label
_atom_site_fract_x
_atom_site_fract_y
_atom_site_fract_z
_atom_site_occupancy
Sn1 0.189 0.056 0.478 1
Mo1 0.084 0.129 0.801 1
Mo2 0.105 0.636 0.481 1
Mo3 0.293 0.642 0.270 1
Mo4 0.310 0.124 0.142 1
Mo5 0.491 0.136 0.910 1
O1 0.091 0.502 0.638 1
O2 0.097 0.506 0.143 1
O3 0.105 0.234 0.988 1
O4 0.111 0.744 0.311 1
O5 0.286 0.250 0.292 1
O6 0.308 0.750 0.109 1
O7 0.469 0.505 0.253 1
O8 0.496 0.729 0.406 1
```


# SrMoO2
Computed powder diffractogram, CuKα. Input: the PBE+U geometry in the Materials Project.
Lines closer than 0.1° are merged.

Most intense lines, 2θ from 10° to 90°, in order of rising 2θ:
| 2θ (°) | intensity | hkl |
| --- | --- | --- |
| 29.82 | 49 | 0 0 4 |
| 30.80 | 100 | 2 0 2 |
| 38.36 | 52 | 2 2 0 |
| 49.33 | 45 | 2 2 4 |
| 53.55 | 26 | 2 0 6 |
| 55.37 | 17 | 4 0 0 |
| 64.16 | 19 | 4 0 4 |
| 64.70 | 26 | 4 2 2 |

Structure:
```
data_SrMoO2
_cell_length_a 6.638
_cell_length_b 6.638
_cell_length_c 11.984
_cell_angle_alpha 90.00
_cell_angle_beta 90.00
_cell_angle_gamma 90.00
_symmetry_space_group_name_H-M 'I 41/a m d'
_symmetry_Int_Tables_number 141
loop_
_symmetry_equiv_pos_as_xyz
'x,y,z'
'-x,-y,-z'
'-y+1/4,x+3/4,z+1/4'
'y+1/4,-x+3/4,-z+1/4'
'-x+1/2,-y,z+1/2'
'x+1/2,y,-z+1/2'
'y+1/4,-x+1/4,z+3/4'
'-y+1/4,x+1/4,-z+3/4'
'x,-y,-z'
'-x,y,z'
'-y+1/4,-x+1/4,-z+3/4'
'y+1/4,x+1/4,z+3/4'
'-x+1/2,y,-z+1/2'
'x+1/2,-y,z+1/2'
'y+1/4,x+3/4,-z+1/4'
'-y+1/4,-x+3/4,z+1/4'
'x+1/2,y+1/2,z+1/2'
'-x+1/2,-y+1/2,-z+1/2'
'-y+3/4,x+1/4,z+3/4'
'y+3/4,-x+1/4,-z+3/4'
'-x,-y+1/2,z'
'x,y+1/2,-z'
'y+3/4,-x+3/4,z+1/4'
'-y+3/4,x+3/4,-z+1/4'
'x+1/2,-y+1/2,-z+1/2'
'-x+1/2,y+1/2,z+1/2'
'-y+3/4,-x+3/4,-z+1/4'
'y+3/4,x+3/4,z+1/4'
'-x,y+1/2,-z'
'x,-y+1/2,z'
'y+3/4,x+1/4,-z+3/4'
'-y+3/4,-x+1/4,z+3/4'
loop_
_atom_site_label
_atom_site_fract_x
_atom_site_fract_y
_atom_site_fract_z
_atom_site_occupancy
Sr1 0.000 0.000 0.000 1
Mo1 0.000 0.000 0.500 1
O1 0.000 0.032 0.217 1
```